Pu2Al6GaAg: calculated powder diffractogram (λ = 1.5418 Å (Cu Kα)), based on a structure optimized by DFT (PBE).
Lines closer than 0.1° are merged.

Cell and atoms:
```
Pu2Al6GaAg
1.0
3.2483 1.8754 11.6183
-3.2483 1.8754 11.6183
0.0000 -3.7508 11.6183
Pu Al Ga Ag
4 12 2 2
direct
0.1085 0.1085 0.1085
0.2829 0.2829 0.2829
0.7171 0.7171 0.7171
0.8915 0.8915 0.8915
0.0611 0.6706 0.6706
0.2291 0.2291 0.6391
0.2291 0.6391 0.2291
0.3294 0.3294 0.9389
0.3294 0.9389 0.3294
0.3609 0.7709 0.7709
0.6391 0.2291 0.2291
0.6706 0.0611 0.6706
0.6706 0.6705 0.0611
0.7709 0.3609 0.7709
0.7709 0.7709 0.3609
0.9389 0.3294 0.3294
0.4254 0.4254 0.4254
0.5746 0.5746 0.5746
0.0000 0.0000 0.0000
0.5000 0.5000 0.5000
```

Most intense lines, 10° ≤ 2θ ≤ 90°, in order of rising 2θ:
- 20.28°, rel. 50.3
- 23.86°, rel. 22.1
- 27.46°, rel. 100.0
- 30.16°, rel. 38.2
- 34.38°, rel. 32.8
- 36.69°, rel. 22.9
- 37.15°, rel. 19.7
- 44.55°, rel. 21.4
- 55.23°, rel. 20.7
- 56.68°, rel. 19.3

=====

Sc4InGa3: calculated powder diffractogram (λ = 1.5418 Å (Cu Kα)), based on a structure optimized by DFT (PBE).
Lines closer than 0.1° are merged.

Cell and atoms:
```
Sc4InGa3
1.0
9.7657 0.0000 0.0000
0.0000 6.5419 0.0000
0.0000 0.0000 4.9684
Sc In Ga
8 2 6
direct
0.0000 0.2418 0.0000
0.0000 0.7582 0.0000
0.2500 0.2410 0.4235
0.2500 0.7590 0.4235
0.5000 0.2418 0.0000
0.5000 0.7582 0.0000
0.7500 0.2410 0.5765
0.7500 0.7590 0.5765
0.0000 0.5000 0.5000
0.5000 0.5000 0.5000
0.0000 0.0000 0.5000
0.2500 0.0000 0.9138
0.2500 0.5000 0.9182
0.5000 0.0000 0.5000
0.7500 0.0000 0.0862
0.7500 0.5000 0.0818
```

Most intense lines, 10° ≤ 2θ ≤ 90°, in order of rising 2θ:
- 25.58°, rel. 12.4
- 34.08°, rel. 7.5
- 36.16°, rel. 19.5
- 36.81°, rel. 30.4
- 37.35°, rel. 8.9
- 37.73°, rel. 100.0
- 52.56°, rel. 12.6
- 56.25°, rel. 8.5
- 66.92°, rel. 16.9
- 69.13°, rel. 8.5

=====

Cs4KHg3F12: calculated powder diffractogram (λ = 1.5418 Å (Cu Kα)), based on a structure optimized by DFT (PBE).
Lines closer than 0.1° are merged.

Cell and atoms:
```
Cs4KHg3F12
1.0
-4.7237 4.7237 4.7237
4.7237 -4.7237 4.7237
4.7237 4.7237 -4.7237
Cs K Hg F
4 1 3 12
direct
0.0000 0.0000 0.5000
0.0000 0.5000 0.0000
0.5000 0.0000 0.0000
0.5000 0.5000 0.5000
0.0000 0.0000 0.0000
0.0000 0.5000 0.5000
0.5000 0.0000 0.5000
0.5000 0.5000 0.0000
0.0000 0.2707 0.2707
0.0000 0.7293 0.7293
0.2500 0.5000 0.7500
0.2500 0.7500 0.5000
0.2707 0.0000 0.2707
0.2707 0.2707 0.0000
0.5000 0.2500 0.7500
0.5000 0.7500 0.2500
0.7293 0.0000 0.7293
0.7293 0.7293 0.0000
0.7500 0.2500 0.5000
0.7500 0.5000 0.2500
```

Most intense lines, 10° ≤ 2θ ≤ 90°, in order of rising 2θ:
- 13.25°, rel. 11.5
- 23.06°, rel. 6.7
- 26.69°, rel. 100.0
- 38.10°, rel. 32.3
- 47.13°, rel. 43.0
- 54.98°, rel. 21.3
- 62.14°, rel. 19.7
- 68.85°, rel. 7.0
- 75.27°, rel. 22.8
- 87.64°, rel. 12.0

=====

Co5Hg3: calculated powder diffractogram (λ = 1.5418 Å (Cu Kα)), based on a structure optimized by DFT (PBE).
Lines closer than 0.1° are merged.

Cell and atoms:
```
Co5Hg3
1.0
2.3246 -7.8068 0.0000
2.3246 7.8068 0.0000
-2.2902 0.0000 7.2116
Co Hg
10 6
direct
0.0472 0.7896 0.8434
0.2104 0.9528 0.1566
0.2478 0.2478 0.0042
0.2956 0.4477 0.7479
0.4477 0.2956 0.7479
0.5523 0.7044 0.2521
0.7044 0.5523 0.2521
0.7522 0.7522 0.9958
0.7896 0.0472 0.8434
0.9528 0.2104 0.1566
0.1901 0.1901 0.3884
0.3006 0.6994 0.0000
0.3079 0.6921 0.5000
0.6921 0.3079 0.5000
0.6994 0.3006 0.0000
0.8099 0.8099 0.6116
```

Most intense lines, 10° ≤ 2θ ≤ 90°, in order of rising 2θ:
- 24.69°, rel. 36.7
- 26.42°, rel. 63.2
- 27.24°, rel. 49.1
- 35.16°, rel. 31.7
- 39.53°, rel. 100.0
- 40.61°, rel. 76.1
- 42.41°, rel. 48.3
- 42.52°, rel. 49.7
- 42.86°, rel. 25.5
- 45.54°, rel. 49.7

=====

Li3NpF8: calculated powder diffractogram (λ = 1.5418 Å (Cu Kα)), based on a structure optimized by DFT (PBE).
Lines closer than 0.1° are merged.

Cell and atoms:
```
Li3NpF8
1.0
4.6755 0.0000 0.0000
-2.3378 4.0491 0.0000
0.0000 0.0000 6.0383
Li Np F
3 1 8
direct
0.0000 0.0000 0.0000
0.3333 0.6667 0.0000
0.6667 0.3333 0.0000
0.0000 0.0000 0.5000
0.0000 0.3029 0.8033
0.0000 0.6971 0.1967
0.3029 0.0000 0.8033
0.3029 0.3029 0.1967
0.3333 0.6667 0.5000
0.6667 0.3333 0.5000
0.6971 0.0000 0.1967
0.6971 0.6971 0.8033
```

Most intense lines, 10° ≤ 2θ ≤ 90°, in order of rising 2θ:
- 14.67°, rel. 70.5
- 21.95°, rel. 94.1
- 26.50°, rel. 100.0
- 37.15°, rel. 40.3
- 38.51°, rel. 23.9
- 41.42°, rel. 60.9
- 47.36°, rel. 24.7
- 49.30°, rel. 48.5
- 50.65°, rel. 21.2
- 62.62°, rel. 21.9

=====

AcLaTb4Er2: calculated powder diffractogram (λ = 1.5418 Å (Cu Kα)), based on a structure optimized by DFT (PBE).
Lines closer than 0.1° are merged.

Cell and atoms:
```
AcLaTb4Er2
1.0
7.2859 0.0000 0.0000
0.0116 7.2946 0.0000
0.0023 0.0065 10.1688
Ac La Tb Er
2 2 8 4
direct
0.0000 0.0000 0.0000
0.0000 0.5000 0.5000
0.0000 0.0000 0.5000
0.5000 0.0000 0.5000
0.2571 0.2539 0.2454
0.2567 0.2543 0.7544
0.2570 0.7453 0.7543
0.2571 0.7460 0.2457
0.7429 0.2540 0.7543
0.7430 0.2547 0.2457
0.7433 0.7457 0.2456
0.7429 0.7461 0.7546
0.0000 0.5000 0.0000
0.5000 0.0000 0.0000
0.5000 0.5000 0.0000
0.5000 0.5000 0.5000
```

Most intense lines, 10° ≤ 2θ ≤ 90°, in order of rising 2θ:
- 30.17°, rel. 100.0
- 34.81°, rel. 34.3
- 35.31°, rel. 16.5
- 50.05°, rel. 12.3
- 50.42°, rel. 24.0
- 59.53°, rel. 21.9
- 59.61°, rel. 7.2
- 60.22°, rel. 14.1
- 62.73°, rel. 12.4
- 81.99°, rel. 7.3